Calculated X-ray diffraction stick pattern
Compound: CePr4Mg3
Radiation: Cu Kα X-rays
Structure: the PBE geometry in Alexandria

```
data_CePr4Mg3
_cell_length_a 3.7912
_cell_length_b 3.7912
_cell_length_c 17.0718
_cell_angle_alpha 90.00
_cell_angle_beta 90.00
_cell_angle_gamma 90.00
_space_group_name_H-M_alt 'P 4/m m m'
_space_group_IT_number 123
_space_group_name_Hall '-P 4 2'
loop_
_atom_site_label
_atom_site_type_symbol
_atom_site_fract_x
_atom_site_fract_y
_atom_site_fract_z
Ce1 Ce 0.0000 0.0000 0.0000
Pr1 Pr 0.5000 0.5000 0.1379
Pr2 Pr 0.5000 0.5000 0.3825
Mg1 Mg 0.0000 0.0000 0.2604
Mg2 Mg 0.0000 0.0000 0.5000
```

Peak list (10 most intense, 15° ≤ 2θ ≤ 90°, low angle first)
| two_theta | I_rel | index |
| --- | --- | --- |
| 20.8 | 13 | 0 0 4 |
| 23.5 | 22 | 1 0 0 |
| 31.6 | 100 | 1 0 4 |
| 33.4 | 45 | 1 1 0 |
| 39.7 | 10 | 1 1 4 |
| 42.4 | 9 | 0 0 8 |
| 48.0 | 17 | 2 0 0 |
| 55.0 | 17 | 1 1 8 |
| 58.6 | 35 | 2 1 4 |
| 65.9 | 10 | 2 0 8 |